Nd2Al9Ir3: calculated powder diffractogram (λ = 1.5418 Å (Cu Kα)), based on a DFT-relaxed cell (GGA-PBE, the Materials Project).
Kinematic intensities with the Lorentz-polarization factor, no thermal factor.

Cell and atoms:
Unit cell a=7.624 b=7.624 c=9.607 alpha=90.00 beta=90.00 gamma=60.57
Element x y z (fractional)
Nd  0.005  0.669  0.750
Nd  0.331  0.995  0.750
Nd  0.669  0.005  0.250
Nd  0.995  0.331  0.250
Al  0.003  0.665  0.072
Al  0.003  0.665  0.428
Al  0.129  0.871  0.250
Al  0.335  0.665  0.550
Al  0.335  0.665  0.950
Al  0.335  0.997  0.072
Al  0.335  0.997  0.428
Al  0.338  0.455  0.250
Al  0.455  0.338  0.750
Al  0.545  0.662  0.250
Al  0.662  0.545  0.750
Al  0.665  0.003  0.572
Al  0.665  0.003  0.928
Al  0.665  0.335  0.050
Al  0.665  0.335  0.450
Al  0.871  0.129  0.750
Al  0.997  0.335  0.572
Al  0.997  0.335  0.928
Ir  0.000  0.000  0.000
Ir  0.000  0.000  0.500
Ir  0.329  0.329  0.000
Ir  0.329  0.329  0.500
Ir  0.671  0.671  0.000
Ir  0.671  0.671  0.500

Largest 8 diffraction maxima, sorted by position, 10° ≤ 2θ ≤ 80°:
23.34°, I = 35; 29.76°, I = 51; 29.92°, I = 100; 37.44°, I = 31; 40.76°, I = 58; 41.13°, I = 28; 51.59°, I = 28; 56.54°, I = 31

KB11H13C2NO: calculated powder diffractogram (λ = 1.5418 Å (Cu Kα)), based on a DFT-relaxed cell (GGA-PBE, the Materials Project).
Kinematic intensities with the Lorentz-polarization factor, no thermal factor.

Cell and atoms:
Unit cell a=7.668 b=7.668 c=12.136 alpha=97.42 beta=97.42 gamma=82.34
Element x y z (fractional)
K  0.244  0.244  0.331
K  0.756  0.756  0.669
B  0.068  0.354  0.759
B  0.128  0.305  0.622
B  0.131  0.131  0.705
B  0.204  0.489  0.711
B  0.252  0.429  0.849
B  0.305  0.128  0.622
B  0.350  0.350  0.626
B  0.354  0.068  0.759
B  0.427  0.427  0.766
B  0.429  0.252  0.849
B  0.489  0.204  0.711
B  0.511  0.796  0.289
B  0.571  0.748  0.151
B  0.573  0.573  0.234
B  0.646  0.932  0.241
B  0.650  0.650  0.374
B  0.695  0.872  0.378
B  0.748  0.571  0.151
B  0.796  0.511  0.289
B  0.869  0.869  0.295
B  0.872  0.695  0.378
B  0.932  0.646  0.241
H  0.018  0.321  0.543
H  0.027  0.027  0.699
H  0.054  0.054  0.904
H  0.076  0.606  0.212
H  0.149  0.639  0.696
H  0.227  0.520  0.934
H  0.291  0.291  0.047
H  0.321  0.018  0.543
H  0.361  0.851  0.304
H  0.394  0.924  0.788
H  0.402  0.402  0.548
H  0.468  0.468  0.209
H  0.480  0.773  0.066
H  0.520  0.227  0.934
H  0.532  0.532  0.791
H  0.598  0.598  0.452
H  0.606  0.076  0.212
H  0.639  0.149  0.696
H  0.679  0.982  0.457
H  0.709  0.709  0.953
H  0.773  0.480  0.066
H  0.851  0.361  0.304
H  0.924  0.394  0.788
H  0.946  0.946  0.096
H  0.973  0.973  0.301
H  0.982  0.679  0.457
C  0.194  0.194  0.034
C  0.212  0.212  0.836
C  0.788  0.788  0.164
C  0.806  0.806  0.966
N  0.145  0.145  0.926
N  0.855  0.855  0.074
O  0.138  0.138  0.114
O  0.862  0.862  0.886

Largest 8 diffraction maxima, sorted by position, 10° ≤ 2θ ≤ 80°:
14.57°, I = 43; 14.82°, I = 36; 15.58°, I = 96; 17.57°, I = 100; 23.57°, I = 22; 25.00°, I = 16; 28.29°, I = 17; 35.62°, I = 16

CaZrF6: calculated powder diffractogram (λ = 1.5418 Å (Cu Kα)), based on a DFT-relaxed cell (GGA-PBE, the Materials Project).
Kinematic intensities with the Lorentz-polarization factor, no thermal factor.

Cell and atoms:
Unit cell a=6.101 b=6.101 c=6.101 alpha=60.00 beta=60.00 gamma=60.00
Element x y z (fractional)
Ca  0.000  0.000  0.000
Zr  0.500  0.500  0.500
F  0.263  0.263  0.737
F  0.263  0.737  0.263
F  0.263  0.737  0.737
F  0.737  0.263  0.263
F  0.737  0.263  0.737
F  0.737  0.737  0.263

Largest 8 diffraction maxima, sorted by position, 10° ≤ 2θ ≤ 80°:
17.81°, I = 21; 20.59°, I = 100; 29.28°, I = 24; 41.88°, I = 29; 47.10°, I = 38; 51.92°, I = 9; 60.72°, I = 16; 64.84°, I = 17

Ce2PrO6: calculated powder diffractogram (λ = 1.5418 Å (Cu Kα)), based on a DFT-relaxed cell (GGA-PBE, the Materials Project).
Kinematic intensities with the Lorentz-polarization factor, no thermal factor.

Cell and atoms:
Unit cell a=6.796 b=6.796 c=6.796 alpha=146.47 beta=131.74 gamma=60.04
Element x y z (fractional)
Ce  0.168  0.168  0.000
Ce  0.832  0.832  0.000
Pr  0.500  0.500  0.000
O  0.071  0.329  0.743
O  0.235  0.000  0.235
O  0.414  0.671  0.743
O  0.586  0.329  0.257
O  0.765  0.000  0.765
O  0.929  0.671  0.257

Largest 8 diffraction maxima, sorted by position, 10° ≤ 2θ ≤ 80°:
27.85°, I = 100; 32.27°, I = 29; 46.28°, I = 55; 54.87°, I = 45; 57.54°, I = 9; 67.57°, I = 6; 74.53°, I = 15; 76.87°, I = 8

Sm4Se3O4: calculated powder diffractogram (λ = 1.5418 Å (Cu Kα)), based on a DFT-relaxed cell (GGA-PBE, the Materials Project).
Kinematic intensities with the Lorentz-polarization factor, no thermal factor.

Cell and atoms:
Unit cell a=8.435 b=6.720 c=6.720 alpha=34.38 beta=90.00 gamma=90.00
Element x y z (fractional)
Sm  0.000  0.000  0.000
Sm  0.237  0.680  0.680
Sm  0.500  0.017  0.017
Sm  0.763  0.680  0.680
Se  0.000  0.311  0.311
Se  0.351  0.354  0.354
Se  0.649  0.354  0.354
O  0.000  0.586  0.586
O  0.244  0.086  0.086
O  0.500  0.614  0.614
O  0.756  0.086  0.086

Largest 8 diffraction maxima, sorted by position, 10° ≤ 2θ ≤ 80°:
25.27°, I = 55; 30.71°, I = 100; 31.72°, I = 57; 35.13°, I = 31; 45.68°, I = 20; 47.35°, I = 22; 53.67°, I = 17; 59.70°, I = 16

SiO2: calculated powder diffractogram (λ = 1.5418 Å (Cu Kα)), based on a DFT-relaxed cell (GGA-PBE, the Materials Project).
Kinematic intensities with the Lorentz-polarization factor, no thermal factor.

Cell and atoms:
Unit cell a=9.684 b=9.684 c=9.684 alpha=60.00 beta=60.00 gamma=60.00
Element x y z (fractional)
Si  0.114  0.114  0.114
Si  0.114  0.114  0.657
Si  0.114  0.657  0.114
Si  0.250  0.250  0.250
Si  0.343  0.886  0.886
Si  0.657  0.114  0.114
Si  0.750  0.750  0.750
Si  0.886  0.343  0.886
Si  0.886  0.886  0.343
Si  0.886  0.886  0.886
O  0.000  0.000  0.275
O  0.000  0.000  0.725
O  0.000  0.275  0.000
O  0.000  0.275  0.725
O  0.000  0.725  0.000
O  0.000  0.725  0.275
O  0.182  0.182  0.182
O  0.182  0.182  0.454
O  0.182  0.454  0.182
O  0.275  0.000  0.000
O  0.275  0.000  0.725
O  0.275  0.725  0.000
O  0.454  0.182  0.182
O  0.546  0.818  0.818
O  0.725  0.000  0.000
O  0.725  0.000  0.275
O  0.725  0.275  0.000
O  0.818  0.546  0.818
O  0.818  0.818  0.546
O  0.818  0.818  0.818

Largest 8 diffraction maxima, sorted by position, 10° ≤ 2θ ≤ 80°:
11.19°, I = 100; 12.93°, I = 7; 18.32°, I = 13; 21.52°, I = 33; 26.02°, I = 15; 29.16°, I = 14; 37.13°, I = 8; 47.40°, I = 7